No. 1
Theoretical powder diffraction line list
Compound: NiAgIrCl6
Radiation: a wavelength of 1.5418 Å
Structure: a PBE-relaxed structure

Structure:
```
data_NiAgIrCl6
_symmetry_space_group_name_H-M 'P 42 n m'
_symmetry_Int_Tables_number 102
_cell_length_a 5.879
_cell_length_b 5.879
_cell_length_c 11.211
_cell_angle_alpha 90.00
_cell_angle_beta 90.00
_cell_angle_gamma 90.00
loop_
_symmetry_equiv_pos_as_xyz
'x,y,z'
'-y+1/2,x+1/2,z+1/2'
'-x,-y,z'
'y+1/2,-x+1/2,z+1/2'
'-x+1/2,y+1/2,z+1/2'
'y,x,z'
'x+1/2,-y+1/2,z+1/2'
'-y,-x,z'
loop_
_atom_site_label
_atom_site_fract_x
_atom_site_fract_y
_atom_site_fract_z
Ni1 0.000 0.000 0.000
Ag1 0.000 0.000 0.330
Ir1 0.000 0.000 0.667
Cl1 0.179 0.179 0.831
Cl2 0.199 0.199 0.513
Cl3 0.213 0.213 0.159
```

Most intense lines, 5° ≤ 2θ ≤ 70°, in order of falling intensity:
d [Å]  I_rel
4.157  100.0
2.150  76.8
3.154  56.6
1.736  31.0
5.207  27.3
2.079  24.2
1.705  19.4
2.779  16.7
1.859  13.8
1.390  12.1


No. 2
Theoretical powder diffraction line list
Compound: RbAg2IrCl6
Radiation: a wavelength of 1.5418 Å
Structure: a PBE-relaxed structure

Structure:
```
data_RbAg2IrCl6
_symmetry_space_group_name_H-M 'R -3'
_symmetry_Int_Tables_number 148
_symmetry_space_group_name_Hall '-R 3'
_cell_length_a 6.8309
_cell_length_b 6.8309
_cell_length_c 21.9764
_cell_angle_alpha 90.00
_cell_angle_beta 90.00
_cell_angle_gamma 120.00
loop_
_atom_site_label
_atom_site_fract_x
_atom_site_fract_y
_atom_site_fract_z
Rb1 0.0000 0.0000 0.0000
Ag1 0.0000 0.0000 0.1822
Ir1 0.0000 0.0000 0.5000
Cl1 0.0072 0.7188 0.5612
```

Most intense lines, 5° ≤ 2θ ≤ 70°, in order of falling intensity:
d [Å]  I_rel
7.325  100.0
2.498  75.5
3.415  48.0
3.096  47.5
1.972  26.8
4.026  26.2
5.209  21.1
1.904  16.3
1.548  15.5
1.986  14.8


No. 3
Theoretical powder diffraction line list
Compound: KAg3Cl8
Radiation: a wavelength of 1.5418 Å
Structure: a PBE-relaxed structure

Structure:
```
data_KAg3Cl8
_symmetry_space_group_name_H-M 'P -3'
_symmetry_Int_Tables_number 147
_cell_length_a 6.6824
_cell_length_b 6.6824
_cell_length_c 8.3398
_cell_angle_alpha 90.00
_cell_angle_beta 90.00
_cell_angle_gamma 120.00
loop_
_symmetry_equiv_pos_as_xyz
'x,y,z'
'-x,-y,-z'
'-y,x-y,z'
'y,-x+y,-z'
'-x+y,-x,z'
'x-y,x,-z'
loop_
_atom_site_label
_atom_site_fract_x
_atom_site_fract_y
_atom_site_fract_z
K1 0.0000 0.0000 0.0000
Ag1 0.0000 0.0000 0.5000
Ag2 0.3333 0.6667 0.7298
Cl1 0.0259 0.3111 0.3206
Cl2 0.3333 0.6667 0.0232
```

Most intense lines, 5° ≤ 2θ ≤ 70°, in order of falling intensity:
d [Å]  I_rel
4.755  100.0
3.341  64.5
3.383  50.9
1.929  39.6
2.734  33.7
1.769  32.8
2.377  31.4
1.937  27.9
2.506  26.7
2.116  25.0


No. 4
Theoretical powder diffraction line list
Compound: K4Ag3Cl10
Radiation: a wavelength of 1.5418 Å
Structure: a PBE-relaxed structure

Structure:
```
data_K4Ag3Cl10
_symmetry_space_group_name_H-M 'I 4/m m m'
_symmetry_Int_Tables_number 139
_symmetry_space_group_name_Hall '-I 4 2'
_cell_length_a 5.111
_cell_length_b 5.111
_cell_length_c 36.182
_cell_angle_alpha 90.00
_cell_angle_beta 90.00
_cell_angle_gamma 90.00
loop_
_atom_site_label
_atom_site_fract_x
_atom_site_fract_y
_atom_site_fract_z
K1 0.000 0.000 0.069
K2 0.000 0.000 0.200
Ag1 0.000 0.000 0.358
Ag2 0.000 0.000 0.500
Cl1 0.000 0.000 0.286
Cl2 0.000 0.000 0.430
Cl3 0.000 0.500 0.000
Cl4 0.000 0.500 0.139
```

Most intense lines, 5° ≤ 2θ ≤ 70°, in order of falling intensity:
d [Å]  I_rel
2.556  100.0
5.061  87.8
3.634  80.8
3.614  64.4
1.817  55.6
2.584  44.2
6.030  42.9
2.091  35.6
1.807  33.7
1.481  26.8


No. 5
Theoretical powder diffraction line list
Compound: K3Ag3Cl8
Radiation: a wavelength of 1.5418 Å
Structure: a PBE-relaxed structure

Structure:
```
data_K3Ag3Cl8
_symmetry_space_group_name_H-M 'R -3 m'
_symmetry_Int_Tables_number 166
_symmetry_space_group_name_Hall '-R 3 2"'
_cell_length_a 8.1261
_cell_length_b 8.1261
_cell_length_c 21.8815
_cell_angle_alpha 90.00
_cell_angle_beta 90.00
_cell_angle_gamma 120.00
loop_
_atom_site_label
_atom_site_fract_x
_atom_site_fract_y
_atom_site_fract_z
K1 0.0000 0.5000 0.0000
Ag1 0.0000 0.0000 0.1349
Ag2 0.0000 0.0000 0.5000
Cl1 0.0000 0.0000 0.2501
Cl2 0.0175 0.5088 0.2335
```

Most intense lines, 5° ≤ 2θ ≤ 70°, in order of falling intensity:
d [Å]  I_rel
3.549  100.0
4.063  61.1
2.032  53.0
7.294  50.4
2.159  49.9
3.716  43.8
2.273  28.8
2.233  28.0
2.959  25.6
1.907  16.6


No. 6
Theoretical powder diffraction line list
Compound: KAg5Cl7
Radiation: a wavelength of 1.5418 Å
Structure: a PBE-relaxed structure

Structure:
```
data_KAg5Cl7
_symmetry_space_group_name_H-M 'C 1 2/m 1'
_symmetry_Int_Tables_number 12
_cell_length_a 13.326
_cell_length_b 4.124
_cell_length_c 22.673
_cell_angle_alpha 90.00
_cell_angle_beta 90.13
_cell_angle_gamma 90.00
loop_
_symmetry_equiv_pos_as_xyz
'x,y,z'
'-x,-y,-z'
'-x,y,-z'
'x,-y,z'
'x+1/2,y+1/2,z'
'-x+1/2,-y+1/2,-z'
'-x+1/2,y+1/2,-z'
'x+1/2,-y+1/2,z'
loop_
_atom_site_label
_atom_site_fract_x
_atom_site_fract_y
_atom_site_fract_z
K1 0.186 0.000 0.250
Ag1 0.000 0.000 0.000
Ag2 0.000 0.000 0.500
Ag3 0.059 0.500 0.855
Ag4 0.060 0.500 0.645
Ag5 0.210 0.500 0.071
Ag6 0.210 0.500 0.429
Cl1 0.011 0.500 0.250
Cl2 0.072 0.000 0.106
Cl3 0.072 0.000 0.394
Cl4 0.140 0.500 0.966
Cl5 0.141 0.500 0.534
Cl6 0.195 0.000 0.834
Cl7 0.196 0.000 0.666
```

Most intense lines, 5° ≤ 2θ ≤ 70°, in order of falling intensity:
d [Å]  I_rel
2.920  100.0
11.337  88.1
2.806  63.1
2.996  53.7
2.608  41.2
2.062  37.2
1.926  33.7
3.749  31.4
1.965  31.2
3.293  31.1


No. 7
Theoretical powder diffraction line list
Compound: KAg2Cl3
Radiation: a wavelength of 1.5418 Å
Structure: a PBE-relaxed structure

Structure:
```
data_KAg2Cl3
_symmetry_space_group_name_H-M 'C m c 21'
_symmetry_Int_Tables_number 36
_cell_length_a 13.614
_cell_length_b 8.142
_cell_length_c 6.813
_cell_angle_alpha 90.00
_cell_angle_beta 90.00
_cell_angle_gamma 90.00
loop_
_symmetry_equiv_pos_as_xyz
'x,y,z'
'-x,-y,z+1/2'
'-x,y,z'
'x,-y,z+1/2'
'x+1/2,y+1/2,z'
'-x+1/2,-y+1/2,z+1/2'
'-x+1/2,y+1/2,z'
'x+1/2,-y+1/2,z+1/2'
loop_
_atom_site_label
_atom_site_fract_x
_atom_site_fract_y
_atom_site_fract_z
K1 0.000 0.191 0.000
Ag1 0.171 0.327 0.480
Cl1 0.000 0.189 0.530
Cl2 0.191 0.371 0.098
```

Most intense lines, 5° ≤ 2θ ≤ 70°, in order of falling intensity:
d [Å]  I_rel
3.426  100.0
3.406  84.4
3.964  78.1
2.329  65.3
1.923  59.1
4.071  46.5
4.878  44.2
1.970  40.9
6.807  40.6
2.583  37.6


No. 8
Theoretical powder diffraction line list
Compound: KAg4Cl8
Radiation: a wavelength of 1.5418 Å
Structure: a PBE-relaxed structure

Structure:
```
data_KAg4Cl8
_symmetry_space_group_name_H-M 'R -3 m'
_symmetry_Int_Tables_number 166
_symmetry_space_group_name_Hall '-R 3 2"'
_cell_length_a 7.8195
_cell_length_b 7.8195
_cell_length_c 22.3321
_cell_angle_alpha 90.00
_cell_angle_beta 90.00
_cell_angle_gamma 120.00
loop_
_atom_site_label
_atom_site_fract_x
_atom_site_fract_y
_atom_site_fract_z
K1 0.0000 0.0000 0.0000
Ag1 0.0000 0.0000 0.5000
Ag2 0.0000 0.5000 0.5000
Cl1 0.0000 0.0000 0.2278
Cl2 0.0029 0.5015 0.7691
```

Most intense lines, 5° ≤ 2θ ≤ 70°, in order of falling intensity:
d [Å]  I_rel
7.444  100.0
2.895  64.8
2.322  24.3
3.348  23.5
1.955  20.9
2.154  20.0
1.891  16.8
1.741  11.1
1.620  10.0
1.863  7.7